The following is a simulated powder XRD pattern of Sm3Ag. It was derived from a PBE-relaxed structure, using Cu Kα (λ = 1.5418 Å).
Intensities are scaled so that the largest is 100.

Structure:
```
Sm3Ag
1.0
-1.910 5.669 2.739
1.910 -5.669 2.739
1.910 5.669 -2.739
Sm Ag
3 1
direct
0.000 0.000 0.000
0.282 0.501 0.781
0.719 0.501 0.219
0.499 0.999 0.500
```

Most intense lines, 2θ from 10° to 90°, sorted by position:
d_spacing, two_theta, Rel. int.
3.111, 28.70, 7.7
2.834, 31.57, 16.7
2.742, 32.66, 100.0
1.970, 46.08, 11.6
1.950, 46.58, 4.2
1.910, 47.60, 7.4
1.618, 56.90, 7.8
1.589, 58.06, 4.4
1.583, 58.30, 20.5
1.567, 58.94, 7.8
1.371, 68.44, 9.5
1.212, 79.02, 7.3